[1]
The following is a simulated powder diffractogram of Tb12Pm2Dy5. It was derived from a crystal structure in Alexandria, relaxed with GGA-PBE, using Cu Ka.
No peak broadening, texture or thermal motion is included.

abc: 9.1334 9.1334 8.5702
angles: 91.07 91.07 60.78
Element x y z (fractional)
1 Tb 0.0591 0.0591 0.3337
2 Tb 0.0651 0.6812 0.3411
3 Tb 0.1651 0.5261 0.7580
4 Tb 0.3188 0.9349 0.6589
5 Tb 0.4101 0.4101 0.1182
6 Tb 0.4739 0.8349 0.2420
7 Tb 0.5261 0.1651 0.7580
8 Tb 0.5899 0.5899 0.8818
9 Tb 0.6812 0.0651 0.3411
10 Tb 0.8349 0.4739 0.2420
11 Tb 0.9349 0.3188 0.6589
12 Tb 0.9409 0.9409 0.6663
13 Pm 0.1795 0.8205 0.0000
14 Pm 0.8205 0.1795 0.0000
15 Dy 0.1992 0.1992 0.0134
16 Dy 0.2691 0.2691 0.4268
17 Dy 0.5000 0.5000 0.5000
18 Dy 0.7309 0.7309 0.5732
19 Dy 0.8008 0.8008 0.9866

Peak list (10 most intense, 10° ≤ 2θ ≤ 90°, in order of falling intensity)
d_spacing  Rel. int.
2.834  100
2.699  77
2.934  76
2.869  63
2.847  53
2.529  51
2.855  47
2.815  44
1.546  42
2.475  40

***

[2]
The following is a simulated powder diffractogram of AcTaH8Ru2. It was derived from a crystal structure in Alexandria, relaxed with GGA-PBE, using Cu Ka.
No peak broadening, texture or thermal motion is included.

abc: 6.3867 6.3867 6.3867
angles: 43.34 43.34 43.34
Element x y z (fractional)
1 Ac 0.0000 0.0000 0.0000
2 Ta 0.5000 0.5000 0.5000
3 H 0.1209 0.5552 0.5552
4 H 0.3084 0.3084 0.3084
5 H 0.4448 0.4448 0.8791
6 H 0.4448 0.8791 0.4448
7 H 0.5552 0.1209 0.5552
8 H 0.5552 0.5552 0.1209
9 H 0.6916 0.6916 0.6916
10 H 0.8791 0.4448 0.4448
11 Ru 0.2120 0.2120 0.2120
12 Ru 0.7880 0.7880 0.7880

Peak list (10 most intense, 10° ≤ 2θ ≤ 90°, in order of falling intensity)
d_spacing  Rel. int.
2.972  100
2.358  72
3.695  28
1.827  26
1.847  25
1.454  24
1.595  18
2.889  15
2.643  15
1.362  13

***

[3]
The following is a simulated powder diffractogram of Na3Cd3Ge2. It was derived from a crystal structure in Alexandria, relaxed with GGA-PBE, using Cu Ka.
No peak broadening, texture or thermal motion is included.

abc: 8.3886 16.4766 5.9101
angles: 90.00 90.00 90.00
Element x y z (fractional)
1 Na 0.0317 0.1121 0.1051
2 Na 0.0317 0.3879 0.1051
3 Na 0.1689 0.2500 0.6323
4 Na 0.3311 0.7500 0.1323
5 Na 0.4683 0.6121 0.6051
6 Na 0.4683 0.8879 0.6051
7 Na 0.5317 0.1121 0.3949
8 Na 0.5317 0.3879 0.3949
9 Na 0.6689 0.2500 0.8677
10 Na 0.8311 0.7500 0.3677
11 Na 0.9683 0.6121 0.8949
12 Na 0.9683 0.8879 0.8949
13 Cd 0.1798 0.0325 0.6162
14 Cd 0.1798 0.4675 0.6162
15 Cd 0.1819 0.7500 0.6333
16 Cd 0.3181 0.2500 0.1333
17 Cd 0.3202 0.5325 0.1162
18 Cd 0.3202 0.9675 0.1162
19 Cd 0.6798 0.0325 0.8838
20 Cd 0.6798 0.4675 0.8838
21 Cd 0.6819 0.7500 0.8667
22 Cd 0.8181 0.2500 0.3667
23 Cd 0.8202 0.5325 0.3838
24 Cd 0.8202 0.9675 0.3838
25 Ge 0.1149 0.6114 0.3956
26 Ge 0.1149 0.8886 0.3956
27 Ge 0.3851 0.1114 0.8956
28 Ge 0.3851 0.3886 0.8956
29 Ge 0.6149 0.6114 0.1044
30 Ge 0.6149 0.8886 0.1044
31 Ge 0.8851 0.1114 0.6044
32 Ge 0.8851 0.3886 0.6044

Peak list (10 most intense, 10° ≤ 2θ ≤ 90°, in order of falling intensity)
d_spacing  Rel. int.
2.308  100
2.631  80
4.023  79
4.831  76
2.528  68
2.116  55
2.485  52
2.939  51
8.238  50
2.787  44

***

[4]
The following is a simulated powder diffractogram of Pr2SmZnSe5. It was derived from a crystal structure in Alexandria, relaxed with GGA-PBE, using Cu Ka.
No peak broadening, texture or thermal motion is included.

abc: 9.1010 9.1010 12.7141
angles: 90.00 90.00 154.17
Element x y z (fractional)
1 Pr 0.1207 0.8793 0.5000
2 Pr 0.1217 0.8783 0.1524
3 Pr 0.8783 0.1217 0.6524
4 Pr 0.8793 0.1207 0.0000
5 Sm 0.1843 0.8157 0.8372
6 Sm 0.8157 0.1843 0.3372
7 Zn 0.4514 0.5486 0.2338
8 Zn 0.5486 0.4514 0.7338
9 Se 0.0184 0.9816 0.8326
10 Se 0.3004 0.6996 0.5010
11 Se 0.3145 0.6855 0.1675
12 Se 0.3471 0.6529 0.8264
13 Se 0.4934 0.5066 0.5606
14 Se 0.5066 0.4934 0.0606
15 Se 0.6529 0.3471 0.3264
16 Se 0.6855 0.3145 0.6675
17 Se 0.6996 0.3004 0.0010
18 Se 0.9816 0.0184 0.3326

Peak list (10 most intense, 10° ≤ 2θ ≤ 90°, in order of falling intensity)
d_spacing  Rel. int.
2.895  100
2.465  45
2.880  30
2.034  25
2.120  20
3.824  16
2.261  15
2.959  15
1.661  12
2.676  12

***

[5]
The following is a simulated powder diffractogram of TlBiPbAu2. It was derived from a crystal structure in Alexandria, relaxed with GGA-PBE, using Cu Ka.
No peak broadening, texture or thermal motion is included.

abc: 7.2792 7.2792 11.0664
angles: 124.40 124.40 36.43
Element x y z (fractional)
1 Tl 0.1369 0.1369 0.1502
2 Tl 0.8631 0.8631 0.8498
3 Bi 0.0925 0.0925 0.4439
4 Bi 0.9075 0.9075 0.5561
5 Pb 0.3773 0.3773 0.1179
6 Pb 0.6227 0.6227 0.8821
7 Au 0.1887 0.1887 0.7697
8 Au 0.3560 0.3560 0.6715
9 Au 0.6440 0.6440 0.3285
10 Au 0.8113 0.8113 0.2303

Peak list (10 most intense, 10° ≤ 2θ ≤ 90°, in order of falling intensity)
d_spacing  Rel. int.
2.352  100
2.811  92
2.275  72
2.202  66
2.779  62
3.474  60
2.364  55
2.763  52
3.171  39
1.760  37

***

[6]
The following is a simulated powder diffractogram of Cs2YRuCl6. It was derived from a crystal structure in Alexandria, relaxed with GGA-PBE, using Cu Ka.
No peak broadening, texture or thermal motion is included.

abc: 7.6560 7.6560 7.6560
angles: 124.03 124.03 83.16
Element x y z (fractional)
1 Cs 0.2500 0.7500 0.5000
2 Cs 0.7500 0.2500 0.5000
3 Y 0.0000 0.0000 0.0000
4 Ru 0.5000 0.5000 0.0000
5 Cl 0.2315 0.2315 0.0000
6 Cl 0.2609 0.2609 0.5217
7 Cl 0.2609 0.7391 0.0000
8 Cl 0.7391 0.2609 0.0000
9 Cl 0.7391 0.7391 0.4783
10 Cl 0.7685 0.7685 0.0000

Peak list (10 most intense, 10° ≤ 2θ ≤ 90°, in order of falling intensity)
d_spacing  Rel. int.
3.801  100
2.540  52
3.593  43
1.900  41
2.112  40
2.864  36
3.043  31
2.239  23
1.522  19
1.796  17